This entry pairs a crystal structure of MnAs2S2O4F12 with its calculated XRD peak list. Radiation: copper Kα. Structure: a crystal structure in Alexandria, relaxed with PBE+U.

Principal peaks in the range 2θ from 10° to 90°, sorted by position:
2θ/deg  I (rel.)
11.9  96
20.1  57
21.0  42
21.9  39
22.6  86
24.0  100
24.4  33
26.8  47
31.3  46
46.1  19

Crystal structure
Cell: 10.2955 9.1151 11.9871 Å, 56.45 47.55 76.00°
Sites, in units of the cell vectors:
Mn 0.0000 0.0000 0.0000
Mn 0.2500 0.2500 0.2500
As 0.2022 0.4026 0.9101
As 0.3399 0.7649 0.0478
As 0.4026 0.2022 0.4851
As 0.7649 0.3399 0.8474
S 0.2764 0.7923 0.4105
S 0.7292 0.8395 0.4577
S 0.7923 0.2764 0.5208
S 0.8395 0.7292 0.9736
O 0.2060 0.9580 0.3798
O 0.4655 0.8132 0.3153
O 0.7938 0.8702 0.2920
O 0.8132 0.4655 0.4061
O 0.8439 0.9347 0.4368
O 0.8702 0.7938 0.0440
O 0.9347 0.8439 0.7845
O 0.9580 0.2060 0.4562
F 0.1098 0.1836 0.9904
F 0.1495 0.5115 0.7741
F 0.1569 0.7253 0.2642
F 0.1836 0.1098 0.7161
F 0.1876 0.8322 0.0050
F 0.2450 0.2748 0.0624
F 0.2596 0.5339 0.1402
F 0.2748 0.2450 0.4178
F 0.2897 0.6051 0.8426
F 0.3875 0.4127 0.4572
F 0.3964 0.9858 0.5247
F 0.4074 0.9874 0.9603
F 0.4127 0.3875 0.7426
F 0.4759 0.6851 0.1005
F 0.5074 0.7928 0.8373
F 0.5115 0.1495 0.5649
F 0.5339 0.2596 0.0664
F 0.6051 0.2897 0.2626
F 0.6851 0.4759 0.7385
F 0.7253 0.1569 0.8536
F 0.7928 0.5074 0.8625
F 0.8322 0.1876 0.9752
F 0.9858 0.3964 0.0931
F 0.9874 0.4074 0.6449